No. 1
For PmMgGe2Rh, a DFT-relaxed cell (PBE, Alexandria) gives the calculated XRD peak list in this record (Cu Kα (weighted mean of Kα1 and Kα2)).
No peak broadening, texture or thermal motion is included.

Cell and atoms:
```
data_PmMgGe2Rh
_cell_length_a 4.1187
_cell_length_b 4.1187
_cell_length_c 11.3146
_cell_angle_alpha 90.00
_cell_angle_beta 90.00
_cell_angle_gamma 90.00
_symmetry_space_group_name_H-M 'I -4 m 2'
_symmetry_Int_Tables_number 119
_symmetry_space_group_name_Hall 'I -4 -2'
loop_
_atom_site_label
_atom_site_fract_x
_atom_site_fract_y
_atom_site_fract_z
Pm1 0.0000 0.0000 0.0000
Mg1 0.0000 0.5000 0.7500
Ge1 0.0000 0.0000 0.3898
Rh1 0.0000 0.5000 0.2500
```

Largest 10 diffraction maxima, low angle first, 10° ≤ 2θ ≤ 80°:
Position (°2θ)  I/Imax  (hkl)
22.98  23  1 0 1
30.70  20  1 1 0
32.18  71  1 0 3
34.64  100  1 1 2
43.97  50  2 0 0
45.75  44  1 0 5
55.52  30  2 1 3
63.93  16  2 2 0
65.32  30  2 1 5
74.80  21  3 1 2


No. 2
For LiGaAgBi, a DFT-relaxed cell (PBE, Alexandria) gives the calculated XRD peak list in this record (Cu Kα (weighted mean of Kα1 and Kα2)).
No peak broadening, texture or thermal motion is included.

Cell and atoms:
```
data_LiGaAgBi
_cell_length_a 6.9898
_cell_length_b 6.9898
_cell_length_c 6.9898
_cell_angle_alpha 90.00
_cell_angle_beta 90.00
_cell_angle_gamma 90.00
_symmetry_space_group_name_H-M 'F -4 3 m'
_symmetry_Int_Tables_number 216
_symmetry_space_group_name_Hall 'F -4 2 3'
loop_
_atom_site_label
_atom_site_fract_x
_atom_site_fract_y
_atom_site_fract_z
Li1 0.0000 0.0000 0.0000
Ga1 0.2500 0.2500 0.2500
Ag1 0.0000 0.0000 0.5000
Bi1 0.2500 0.2500 0.7500
```

Largest 10 diffraction maxima, low angle first, 10° ≤ 2θ ≤ 80°:
Position (°2θ)  I/Imax  (hkl)
22.03  43  1 1 1
25.49  20  2 0 0
36.35  100  2 2 0
42.91  23  3 1 1
52.36  17  4 0 0
57.47  10  3 3 1
59.11  9  4 2 0
65.41  36  4 2 2
69.93  8  5 1 1
77.20  11  4 4 0


No. 3
For Ce3Ge2Rh3, a DFT-relaxed cell (PBE, Alexandria) gives the calculated XRD peak list in this record (Cu Kα (weighted mean of Kα1 and Kα2)).
No peak broadening, texture or thermal motion is included.

Cell and atoms:
```
data_Ce3Ge2Rh3
_cell_length_a 7.7318
_cell_length_b 15.0541
_cell_length_c 5.6566
_cell_angle_alpha 90.00
_cell_angle_beta 90.00
_cell_angle_gamma 90.00
_symmetry_space_group_name_H-M 'P n m a'
_symmetry_Int_Tables_number 62
loop_
_symmetry_equiv_pos_as_xyz
'x,y,z'
'-x,-y,-z'
'-x+1/2,-y,z+1/2'
'x+1/2,y,-z+1/2'
'x+1/2,-y+1/2,-z+1/2'
'-x+1/2,y+1/2,z+1/2'
'-x,y+1/2,-z'
'x,-y+1/2,z'
loop_
_atom_site_label
_atom_site_fract_x
_atom_site_fract_y
_atom_site_fract_z
Ce1 0.0341 0.1058 0.1503
Ce2 0.1680 0.2500 0.6143
Ge1 0.1187 0.6078 0.3458
Rh1 0.1693 0.0321 0.5878
Rh2 0.1965 0.7500 0.6201
```

Largest 10 diffraction maxima, low angle first, 10° ≤ 2θ ≤ 80°:
Position (°2θ)  I/Imax  (hkl)
30.79  34  1 4 1
33.24  89  2 4 0
33.74  36  1 0 2
34.28  39  1 1 2
35.76  37  0 6 0
36.93  63  2 4 1
38.36  100  3 0 1
41.62  41  1 4 2
48.38  14  0 8 0
49.85  18  4 0 1